Structure and computed X-ray diffraction stick pattern of BeZnCuTeS (a crystal structure in Alexandria, relaxed with PBE; Cu Kα X-rays).

Most intense lines, 15° ≤ 2θ ≤ 90°, low angle first:
- 3.908 Å, rel. 100
- 3.074 Å, rel. 56
- 2.853 Å, rel. 32
- 2.681 Å, rel. 44
- 2.416 Å, rel. 31
- 2.211 Å, rel. 72

Structural model:
Cell: 4.286 3.908 5.950 Å, 90.00 103.06 90.00°
Space group Pm (No. 6)
One atom of each set of equivalent atoms:
Be: 0.000 0.000 0.000 x1
Zn: 0.296 0.500 0.431 x1
Cu: 0.749 0.500 0.162 x1
Te: 0.877 0.500 0.740 x1
S: 0.460 0.000 0.196 x1